1.
Computed XRD peak list of Eu2ScNbO7 for CuKα, from a GGA-PBE-relaxed structure.
Neutral-atom scattering factors, no anomalous dispersion.

Main lines, most intense first (5 to 70 degrees two-theta):
d_spacing, I_rel
3.045, 100
3.078, 99
1.875, 64
2.651, 61
1.604, 43
1.591, 27
6.156, 24
1.889, 17
1.859, 15
1.598, 14

```
22
Lattice="-3.7174 3.7776 5.3093 3.7174 -3.7776 5.3093 3.7174 3.7776 -5.3093" Properties=species:S:1:pos:R:3 pbc="T T T"
Eu 0.0000 0.0000 0.0000
Eu -1.8587 1.8888 2.6547
Eu 0.0000 3.7776 0.0000
Eu 1.8587 1.8888 2.6547
Sc 1.8587 1.8888 -2.6547
Sc 1.8587 -1.8888 2.6547
Nb 3.7174 0.0000 0.0000
Nb 0.0000 0.0000 5.3093
O 2.2478 -0.2918 1.3254
O 5.1869 -0.2918 1.3254
O 3.7174 -1.8888 3.6910
O 3.7174 1.8888 0.7230
O 2.2478 3.4858 -1.3254
O 1.4696 -0.2918 3.9839
O 0.0000 1.8888 1.3614
O 3.7174 1.8888 3.9479
O 2.2478 4.0694 1.3254
O 1.4696 0.2918 6.6347
O 0.0000 1.8888 4.5863
O 0.0000 5.6664 1.6183
O -1.4696 4.0694 3.9839
O 1.4696 4.0694 3.9839
```

---

2.
Computed XRD peak list of SmEuTiNbO6 for CuKα, from a GGA-PBE-relaxed structure.
Neutral-atom scattering factors, no anomalous dispersion.

Main lines, most intense first (5 to 70 degrees two-theta):
d_spacing, I_rel
2.829, 100
1.633, 39
2.001, 31
1.415, 19
2.310, 15
4.001, 10
1.789, 6
4.620, 3
2.413, 2
1.836, 1

```
10
Lattice="0.0000 4.0011 4.0011 4.0011 0.0000 4.0011 4.0011 4.0011 0.0000" Properties=species:S:1:pos:R:3 pbc="T T T"
Sm 0.0000 0.0000 0.0000
Eu 4.0011 4.0011 4.0011
Ti 2.0006 2.0006 2.0006
Nb 6.0017 6.0017 6.0017
O 2.0006 2.0006 0.0304
O 2.0006 0.0304 2.0006
O 3.9707 2.0006 2.0006
O 0.0304 2.0006 2.0006
O 2.0006 3.9707 2.0006
O 2.0006 2.0006 3.9707
```

---

3.
Computed XRD peak list of SrEuTiNbO6 for CuKα, from a GGA-PBE-relaxed structure.
Neutral-atom scattering factors, no anomalous dispersion.

Main lines, most intense first (5 to 70 degrees two-theta):
d_spacing, I_rel
2.842, 100
1.641, 39
2.009, 34
1.421, 20
2.320, 12
4.640, 11
2.423, 7
4.019, 3
1.844, 3
1.547, 2

```
10
Lattice="0.0000 4.0187 4.0187 4.0187 0.0000 4.0187 4.0187 4.0187 0.0000" Properties=species:S:1:pos:R:3 pbc="T T T"
Sr 0.0000 0.0000 0.0000
Eu 4.0187 4.0187 4.0187
Ti 2.0093 2.0093 2.0093
Nb 6.0280 6.0280 6.0280
O 2.0093 2.0093 0.0209
O 2.0093 0.0209 2.0093
O 3.9978 2.0093 2.0093
O 0.0209 2.0093 2.0093
O 2.0093 3.9978 2.0093
O 2.0093 2.0093 3.9978
```